Diffraction record for Co2RuAu. The powder XRD pattern is calculated, not measured: it uses a DFT-relaxed cell (GGA-PBE, Alexandria) and Cu Kα, 1.54184 Å.
Peak positions follow from Bragg's law for the DFT cell and can differ from measured ones.

Peak list (10 most intense, 2θ = 15–90°, low angle first)
2θ (°), intensity
17.79, 185
28.25, 451
41.34, 1000
42.49, 738
43.42, 541
44.36, 374
63.81, 341
79.58, 147
79.82, 161
85.79, 191

Structural model:
abc: 4.0846 2.6758 9.9700
angles: 90.00 90.00 90.00
Space group Amm2 (No. 38)
One atom of each set of equivalent atoms:
Co1 0.0000 0.0000 0.0000 (multiplicity 2)
Co2 0.5000 0.0000 0.1226 (multiplicity 2)
Ru1 0.0000 0.0000 0.7208 (multiplicity 2)
Au1 0.5000 0.0000 0.3824 (multiplicity 2)